Starting from a crystal structure in Alexandria, relaxed with PBE, the X-ray powder pattern of Tm2Mg7 was computed for Cu Kα (λ = 1.5418 Å).

Principal peaks in the range 10 to 90 degrees two-theta, sorted by position:
d (Å), I/Imax
5.134, 70
4.905, 28
4.681, 24
3.357, 55
2.984, 76
2.838, 33
2.692, 33
2.580, 38
2.549, 100
1.626, 25

Atomic structure:
```
Tm2Mg7
1.0
2.984 1.723 14.714
-2.984 1.723 14.714
0.000 -3.446 14.714
Tm Mg
4 14
Cartesian
0.000 0.000 2.842
0.000 0.000 6.702
0.000 0.000 37.441
0.000 0.000 41.301
-1.492 -0.861 14.714
-1.513 -0.873 19.673
0.000 0.000 12.249
0.000 -1.747 24.470
-1.513 0.873 24.470
0.000 0.000 17.204
-1.492 0.861 29.429
0.000 1.723 14.714
0.000 0.000 22.071
0.000 0.000 26.939
1.513 -0.873 19.672
0.000 1.747 19.672
0.000 0.000 31.894
1.513 0.873 24.470
```



Starting from a crystal structure in Alexandria, relaxed with PBE, the X-ray powder pattern of PrCuO3 was computed for Cu Kα (λ = 1.5418 Å).

Principal peaks in the range 10 to 90 degrees two-theta, sorted by position:
d (Å), I/Imax
4.137, 20
3.178, 12
3.126, 100
2.909, 20
2.745, 58
2.724, 22
1.997, 14
1.989, 48
1.801, 20
1.640, 13

Atomic structure:
```
PrCuO3
1.0
4.002 0.000 0.000
0.000 12.712 0.000
0.000 0.000 5.449
Pr Cu O
4 4 12
Cartesian
0.970 1.076 1.362
0.970 5.280 4.087
3.032 7.431 1.362
3.032 11.636 4.087
1.619 8.568 4.087
1.619 10.500 1.362
2.383 2.212 4.087
2.383 4.144 1.362
0.983 7.415 2.807
0.983 7.415 5.366
0.983 11.653 0.083
0.983 11.653 2.642
1.490 3.178 0.000
1.490 3.178 2.724
2.512 9.534 0.000
2.512 9.534 2.724
3.019 1.059 2.807
3.019 1.059 5.366
3.019 5.297 0.083
3.019 5.297 2.642
```